Record 1
This entry pairs a crystal structure of ZnCd2Se with its calculated X-ray powder pattern. Radiation: Cu Kα (λ = 1.5418 Å). Structure: a crystal structure in Alexandria, relaxed with GGA-PBE.
Kinematic intensities with the Lorentz-polarization factor, no thermal factor.

Structure:
a = 4.968 Å, b = 4.968 Å, c = 3.827 Å
α = 90.00°, β = 90.00°, γ = 112.02°
Sites, in units of the cell vectors:
Zn (0.000, 0.000, 0.000)
Cd (0.000, 0.500, 0.500)
Cd (0.500, 0.000, 0.500)
Se (0.500, 0.500, 0.000)

Principal peaks in the range 2θ from 10° to 90°, in order of rising 2θ:
d 2.804, 2θ 31.92, intensity 100; d 2.303, 2θ 39.12, intensity 57; d 2.248, 2θ 40.11, intensity 53; d 2.060, 2θ 43.96, intensity 20; d 1.914, 2θ 47.51, intensity 16; d 1.519, 2θ 61.02, intensity 29; d 1.472, 2θ 63.17, intensity 26; d 1.244, 2θ 76.56, intensity 15

***

Record 2
This entry pairs a crystal structure of ZnCd2Se3 with its calculated X-ray powder pattern. Radiation: Cu Kα (λ = 1.5418 Å). Structure: a crystal structure in Alexandria, relaxed with GGA-PBE.
Kinematic intensities with the Lorentz-polarization factor, no thermal factor.

Structure:
a = 7.397 Å, b = 7.397 Å, c = 7.397 Å
α = 146.59°, β = 60.09°, γ = 131.60°
Sites, in units of the cell vectors:
Zn (0.000, 0.000, 0.000)
Cd (0.337, 0.000, 0.337)
Cd (0.663, 0.000, 0.663)
Se (0.075, 0.234, 0.841)
Se (0.393, 0.234, 0.159)
Se (0.777, 0.277, 0.500)

Principal peaks in the range 2θ from 10° to 90°, in order of rising 2θ:
d 3.486, 2θ 25.55, intensity 100; d 2.137, 2θ 42.30, intensity 61; d 2.127, 2θ 42.51, intensity 12; d 1.826, 2θ 49.93, intensity 15; d 1.820, 2θ 50.13, intensity 15; d 1.816, 2θ 50.24, intensity 15; d 1.387, 2θ 67.56, intensity 11; d 1.230, 2θ 77.64, intensity 8

***

Record 3
This entry pairs a crystal structure of Cd7Si6 with its calculated X-ray powder pattern. Radiation: Cu Kα (λ = 1.5418 Å). Structure: a crystal structure in Alexandria, relaxed with GGA-PBE.
Kinematic intensities with the Lorentz-polarization factor, no thermal factor.

Structure:
a = 10.178 Å, b = 10.178 Å, c = 10.178 Å
α = 33.05°, β = 33.05°, γ = 33.05°
Sites, in units of the cell vectors:
Cd (0.000, 0.000, 0.000)
Cd (0.082, 0.082, 0.579)
Cd (0.082, 0.579, 0.082)
Cd (0.421, 0.918, 0.918)
Cd (0.579, 0.082, 0.082)
Cd (0.918, 0.421, 0.918)
Cd (0.918, 0.918, 0.421)
Si (0.165, 0.165, 0.165)
Si (0.330, 0.330, 0.330)
Si (0.459, 0.459, 0.459)
Si (0.541, 0.541, 0.541)
Si (0.670, 0.670, 0.670)
Si (0.835, 0.835, 0.835)

Principal peaks in the range 2θ from 10° to 90°, in order of rising 2θ:
d 4.940, 2θ 17.95, intensity 90; d 4.807, 2θ 18.46, intensity 87; d 2.498, 2θ 35.95, intensity 73; d 2.480, 2θ 36.22, intensity 100; d 2.470, 2θ 36.37, intensity 52; d 2.403, 2θ 37.42, intensity 52; d 2.299, 2θ 39.18, intensity 83; d 2.142, 2θ 42.19, intensity 91

***

Record 4
This entry pairs a crystal structure of Cd4Si with its calculated X-ray powder pattern. Radiation: Cu Kα (λ = 1.5418 Å). Structure: a crystal structure in Alexandria, relaxed with GGA-PBE.
Kinematic intensities with the Lorentz-polarization factor, no thermal factor.

Structure:
a = 3.111 Å, b = 3.111 Å, c = 13.353 Å
α = 90.00°, β = 90.00°, γ = 120.00°
Sites, in units of the cell vectors:
Cd (0.333, 0.667, 0.100)
Cd (0.333, 0.667, 0.323)
Cd (0.667, 0.333, 0.677)
Cd (0.667, 0.333, 0.900)
Si (0.000, 0.000, 0.500)

Principal peaks in the range 2θ from 10° to 90°, in order of rising 2θ:
d 2.694, 2θ 33.25, intensity 23; d 2.671, 2θ 33.56, intensity 34; d 2.641, 2θ 33.94, intensity 100; d 2.305, 2θ 39.08, intensity 26; d 2.097, 2θ 43.15, intensity 66; d 1.897, 2θ 47.96, intensity 19; d 1.556, 2θ 59.42, intensity 24; d 1.344, 2θ 69.99, intensity 23

***

Record 5
This entry pairs a crystal structure of Cd6Si7 with its calculated X-ray powder pattern. Radiation: Cu Kα (λ = 1.5418 Å). Structure: a crystal structure in Alexandria, relaxed with GGA-PBE.
Kinematic intensities with the Lorentz-polarization factor, no thermal factor.

Structure:
a = 12.129 Å, b = 12.129 Å, c = 12.129 Å
α = 23.78°, β = 23.78°, γ = 23.78°
Sites, in units of the cell vectors:
Cd (0.043, 0.043, 0.043)
Cd (0.150, 0.150, 0.150)
Cd (0.319, 0.319, 0.319)
Cd (0.681, 0.681, 0.681)
Cd (0.850, 0.850, 0.850)
Cd (0.957, 0.957, 0.957)
Si (0.096, 0.595, 0.595)
Si (0.405, 0.405, 0.904)
Si (0.405, 0.904, 0.405)
Si (0.500, 0.500, 0.500)
Si (0.595, 0.096, 0.595)
Si (0.595, 0.595, 0.096)
Si (0.904, 0.405, 0.405)

Principal peaks in the range 2θ from 10° to 90°, in order of rising 2θ:
d 5.890, 2θ 15.04, intensity 32; d 4.296, 2θ 20.68, intensity 26; d 3.092, 2θ 28.88, intensity 22; d 2.737, 2θ 32.71, intensity 38; d 2.580, 2θ 34.78, intensity 100; d 2.499, 2θ 35.94, intensity 88; d 2.300, 2θ 39.16, intensity 67; d 1.458, 2θ 63.85, intensity 32

***

Record 6
This entry pairs a crystal structure of Cd8Si with its calculated X-ray powder pattern. Radiation: Cu Kα (λ = 1.5418 Å). Structure: a crystal structure in Alexandria, relaxed with GGA-PBE.
Kinematic intensities with the Lorentz-polarization factor, no thermal factor.

Structure:
a = 6.986 Å, b = 6.986 Å, c = 6.986 Å
α = 96.04°, β = 96.04°, γ = 142.15°
Sites, in units of the cell vectors:
Cd (0.000, 0.330, 0.330)
Cd (0.000, 0.670, 0.670)
Cd (0.330, 0.000, 0.330)
Cd (0.336, 0.336, 0.672)
Cd (0.336, 0.664, 0.000)
Cd (0.664, 0.336, 0.000)
Cd (0.664, 0.664, 0.328)
Cd (0.670, 0.000, 0.670)
Si (0.000, 0.000, 0.000)

Principal peaks in the range 2θ from 10° to 90°, in order of rising 2θ:
d 2.567, 2θ 34.95, intensity 100; d 2.266, 2θ 39.78, intensity 17; d 2.203, 2θ 40.97, intensity 32; d 1.579, 2θ 58.43, intensity 21; d 1.558, 2θ 59.33, intensity 10; d 1.359, 2θ 69.10, intensity 13; d 1.332, 2θ 70.75, intensity 23; d 1.284, 2θ 73.82, intensity 10

***

Record 7
This entry pairs a crystal structure of Cd5Si3 with its calculated X-ray powder pattern. Radiation: Cu Kα (λ = 1.5418 Å). Structure: a crystal structure in Alexandria, relaxed with GGA-PBE.
Kinematic intensities with the Lorentz-polarization factor, no thermal factor.

Structure:
a = 6.112 Å, b = 6.112 Å, c = 4.537 Å
α = 90.00°, β = 90.00°, γ = 95.57°
Sites, in units of the cell vectors:
Cd (0.000, 0.000, 0.000)
Cd (0.000, 0.500, 0.000)
Cd (0.205, 0.795, 0.500)
Cd (0.500, 0.000, 0.000)
Cd (0.795, 0.205, 0.500)
Si (0.342, 0.342, 0.500)
Si (0.500, 0.500, 0.000)
Si (0.658, 0.658, 0.500)

Principal peaks in the range 2θ from 10° to 90°, in order of rising 2θ:
d 6.083, 2θ 14.56, intensity 16; d 4.528, 2θ 19.61, intensity 18; d 3.044, 2θ 29.34, intensity 26; d 2.526, 2θ 35.54, intensity 100; d 2.403, 2θ 37.43, intensity 21; d 2.268, 2θ 39.74, intensity 23; d 2.263, 2θ 39.83, intensity 15; d 1.522, 2θ 60.88, intensity 14

***

Record 8
This entry pairs a crystal structure of CdSi7 with its calculated X-ray powder pattern. Radiation: Cu Kα (λ = 1.5418 Å). Structure: a crystal structure in Alexandria, relaxed with GGA-PBE.
Kinematic intensities with the Lorentz-polarization factor, no thermal factor.

Structure:
a = 5.684 Å, b = 5.684 Å, c = 5.684 Å
α = 60.00°, β = 60.00°, γ = 60.00°
Sites, in units of the cell vectors:
Cd (0.000, 0.000, 0.000)
Si (0.000, 0.000, 0.500)
Si (0.000, 0.500, 0.000)
Si (0.000, 0.500, 0.500)
Si (0.500, 0.000, 0.000)
Si (0.500, 0.000, 0.500)
Si (0.500, 0.500, 0.000)
Si (0.500, 0.500, 0.500)

Principal peaks in the range 2θ from 10° to 90°, in order of rising 2θ:
d 4.641, 2θ 19.12, intensity 44; d 4.019, 2θ 22.12, intensity 24; d 2.842, 2θ 31.48, intensity 20; d 2.424, 2θ 37.10, intensity 26; d 2.320, 2θ 38.81, intensity 100; d 2.009, 2θ 45.12, intensity 48; d 1.421, 2θ 65.71, intensity 30; d 1.212, 2θ 79.02, intensity 36